[1]
K2US2Cl4: calculated powder diffraction line list (a wavelength of 1.5418 Å), based on DFT lattice parameters and positions (PBE).
Neutral-atom scattering factors, no anomalous dispersion.

Crystal structure
```
data_K2US2Cl4
_space_group_name_H-M_alt 'C 1 2/m 1'
_space_group_IT_number 12
_space_group_name_Hall '-C 2y'
_cell_length_a 12.7866
_cell_length_b 7.3026
_cell_length_c 7.3627
_cell_angle_alpha 90.00
_cell_angle_beta 124.39
_cell_angle_gamma 90.00
loop_
_atom_site_label
_atom_site_type_symbol
_atom_site_fract_x
_atom_site_fract_y
_atom_site_fract_z
K1 K 0.2466 0.0000 0.2265
U1 U 0.0000 0.0000 0.5000
S1 S 0.2193 0.0000 0.6448
Cl1 Cl 0.0400 0.2495 0.7852
```

Peak list (12 most intense, 10° ≤ 2θ ≤ 80°, most intense first)
Position (°2θ)	d_spacing	I_rel	index
14.76	6.003	100	2 0 -1
28.32	3.152	35	4 0 -1
34.60	2.592	34	2 2 -2
17.10	5.185	33	1 1 -1
28.55	3.127	32	0 2 1
14.58	6.076	28	0 0 1
24.18	3.681	27	3 1 -1
23.95	3.715	25	1 1 1
16.81	5.276	18	2 0 0
42.26	2.138	14	1 1 -3
33.99	2.638	14	4 0 0
49.53	1.840	14	6 2 -2

[2]
K2SbCl5: calculated powder diffraction line list (a wavelength of 1.5418 Å), based on DFT lattice parameters and positions (PBE).
Neutral-atom scattering factors, no anomalous dispersion.

Crystal structure
```
data_K2SbCl5
_space_group_name_H-M_alt 'P 1 21/c 1'
_space_group_IT_number 14
_space_group_name_Hall '-P 2ybc'
_cell_length_a 9.2938
_cell_length_b 12.8459
_cell_length_c 8.8935
_cell_angle_alpha 90.00
_cell_angle_beta 109.57
_cell_angle_gamma 90.00
loop_
_atom_site_label
_atom_site_type_symbol
_atom_site_fract_x
_atom_site_fract_y
_atom_site_fract_z
K1 K 0.1370 0.1310 0.1667
K2 K 0.3296 0.6714 0.9209
Sb1 Sb 0.3043 0.0047 0.8065
Cl1 Cl 0.0895 0.1399 0.7930
Cl2 Cl 0.1129 0.6144 0.1413
Cl3 Cl 0.2398 0.5928 0.5483
Cl4 Cl 0.3330 0.0735 0.5426
Cl5 Cl 0.4933 0.1479 0.1845
```

Peak list (12 most intense, 10° ≤ 2θ ≤ 80°, most intense first)
Position (°2θ)	d_spacing	I_rel	index
13.78	6.425	100	0 2 0
23.99	3.709	41	1 3 -1
18.28	4.852	38	1 1 1
37.01	2.429	23	3 1 -3
24.61	3.618	22	2 2 0
32.08	2.790	22	3 2 -1
33.29	2.691	21	1 2 -3
26.87	3.318	21	1 3 1
20.27	4.380	20	2 0 0
33.43	2.680	18	2 3 1
35.78	2.510	17	3 3 -1
30.96	2.889	17	1 1 -3

[3]
KSbCl6: calculated powder diffraction line list (a wavelength of 1.5418 Å), based on DFT lattice parameters and positions (PBE).
Neutral-atom scattering factors, no anomalous dispersion.

Crystal structure
```
data_KSbCl6
_space_group_name_H-M_alt 'C 1 2/c 1'
_space_group_IT_number 15
_space_group_name_Hall '-C 2yc'
_cell_length_a 11.3227
_cell_length_b 8.5043
_cell_length_c 11.1503
_cell_angle_alpha 90.00
_cell_angle_beta 91.27
_cell_angle_gamma 90.00
loop_
_atom_site_label
_atom_site_type_symbol
_atom_site_fract_x
_atom_site_fract_y
_atom_site_fract_z
K1 K 0.0000 0.0090 0.2500
Sb1 Sb 0.2500 0.2500 0.5000
Cl1 Cl 0.0702 0.3339 0.4004
Cl2 Cl 0.1653 0.3044 0.6924
Cl3 Cl 0.1750 0.0173 0.0056
```

Peak list (12 most intense, 10° ≤ 2θ ≤ 80°, most intense first)
Position (°2θ)	d_spacing	I_rel	index
15.17	5.839	100	1 1 -1
15.35	5.771	89	1 1 1
27.21	3.277	34	3 1 1
33.58	2.669	26	1 3 1
15.90	5.574	25	0 0 2
22.13	4.016	23	2 0 -2
15.66	5.660	22	2 0 0
41.91	2.156	22	4 2 2
30.76	2.907	19	3 1 2
22.64	3.928	18	2 0 2
32.56	2.750	16	1 3 0
48.72	1.869	16	2 4 2

[4]
KSc5Cl12: calculated powder diffraction line list (a wavelength of 1.5418 Å), based on DFT lattice parameters and positions (PBE).
Neutral-atom scattering factors, no anomalous dispersion.

Crystal structure
```
data_KSc5Cl12
_space_group_name_H-M_alt 'I m m m'
_space_group_IT_number 71
_space_group_name_Hall '-I 2 2'
_cell_length_a 8.9220
_cell_length_b 9.5031
_cell_length_c 10.0728
_cell_angle_alpha 90.00
_cell_angle_beta 90.00
_cell_angle_gamma 90.00
loop_
_atom_site_label
_atom_site_type_symbol
_atom_site_fract_x
_atom_site_fract_y
_atom_site_fract_z
K1 K 0.0000 0.0000 0.0000
Sc1 Sc 0.0000 0.0000 0.5000
Sc2 Sc 0.0000 0.3431 0.5000
Sc3 Sc 0.0000 0.5000 0.1404
Cl1 Cl 0.0000 0.1731 0.3085
Cl2 Cl 0.1777 0.3360 0.0000
Cl3 Cl 0.1780 0.5000 0.3445
```

Peak list (12 most intense, 10° ≤ 2θ ≤ 80°, most intense first)
Position (°2θ)	d_spacing	I_rel	index
34.94	2.568	100	1 3 2
34.75	2.582	69	2 1 3
19.90	4.461	41	2 0 0
36.75	2.446	40	3 2 1
35.89	2.502	35	2 3 1
40.49	2.228	35	4 0 0
47.22	1.925	33	1 3 4
62.50	1.486	32	6 0 0
49.99	1.825	30	3 4 1
13.61	6.505	27	1 1 0
31.52	2.838	24	3 1 0
32.78	2.732	23	2 2 2

[5]
K2ScCl4: calculated powder diffraction line list (a wavelength of 1.5418 Å), based on DFT lattice parameters and positions (PBE).
Neutral-atom scattering factors, no anomalous dispersion.

Crystal structure
```
data_K2ScCl4
_space_group_name_H-M_alt 'I 4/m m m'
_space_group_IT_number 139
_space_group_name_Hall '-I 4 2'
_cell_length_a 5.0715
_cell_length_b 5.0715
_cell_length_c 16.0241
_cell_angle_alpha 90.00
_cell_angle_beta 90.00
_cell_angle_gamma 90.00
loop_
_atom_site_label
_atom_site_type_symbol
_atom_site_fract_x
_atom_site_fract_y
_atom_site_fract_z
K1 K 0.0000 0.0000 0.1428
Sc1 Sc 0.0000 0.0000 0.5000
Cl1 Cl 0.0000 0.0000 0.3360
Cl2 Cl 0.0000 0.5000 0.0000
```

Peak list (12 most intense, 10° ≤ 2θ ≤ 80°, most intense first)
Position (°2θ)	d_spacing	I_rel	index
33.55	2.671	100	0 0 6
35.40	2.536	91	2 0 0
24.83	3.586	54	1 1 0
11.04	8.012	52	0 0 2
49.57	1.839	48	2 0 6
62.37	1.489	37	2 2 6
27.25	3.273	34	1 1 2
50.93	1.793	28	2 2 0
33.06	2.709	27	1 0 5
49.22	1.851	15	2 1 5
58.73	1.572	15	2 0 8
18.35	4.835	15	1 0 1

[6]
K3ScCl6: calculated powder diffraction line list (a wavelength of 1.5418 Å), based on DFT lattice parameters and positions (PBE).
Neutral-atom scattering factors, no anomalous dispersion.

Crystal structure
```
data_K3ScCl6
_space_group_name_H-M_alt 'P 1 21/c 1'
_space_group_IT_number 14
_space_group_name_Hall '-P 2ybc'
_cell_length_a 12.8038
_cell_length_b 7.5766
_cell_length_c 13.0278
_cell_angle_alpha 90.00
_cell_angle_beta 107.64
_cell_angle_gamma 90.00
loop_
_atom_site_label
_atom_site_type_symbol
_atom_site_fract_x
_atom_site_fract_y
_atom_site_fract_z
K1 K 0.0754 0.0637 0.3369
K2 K 0.2902 0.0176 0.7281
K3 K 0.3543 0.5091 0.5894
Sc1 Sc 0.0000 0.0000 0.0000
Sc2 Sc 0.5000 0.0000 0.5000
Cl1 Cl 0.0759 0.2212 0.5976
Cl2 Cl 0.1295 0.0193 0.8883
Cl3 Cl 0.1385 0.6723 0.6447
Cl4 Cl 0.3139 0.0954 0.5014
Cl5 Cl 0.4238 0.7162 0.4108
Cl6 Cl 0.4710 0.1557 0.3212
```

Peak list (12 most intense, 10° ≤ 2θ ≤ 80°, most intense first)
Position (°2θ)	d_spacing	I_rel	index
33.34	2.687	100	2 2 2
34.42	2.606	58	4 0 -4
14.50	6.109	55	2 0 0
23.63	3.766	47	1 1 -3
31.85	2.810	46	2 1 3
16.49	5.374	46	1 1 1
30.42	2.938	45	2 1 -4
29.14	3.064	45	2 2 -2
26.27	3.393	43	1 2 1
38.13	2.360	40	0 1 5
23.94	3.718	34	3 1 -1
30.48	2.933	30	3 0 -4